1.
# Ho2Ag2Te3Se
Simulated powder diffractogram, CuKα. Input: the GGA-PBE geometry in OQMD.
Kinematic intensities with the Lorentz-polarization factor, no thermal factor.

Largest 10 diffraction maxima, sorted by position, 5 to 70 degrees two-theta:
hkl 0 2 1, 2θ 26.2, intensity 80
hkl 2 0 -1, 2θ 26.6, intensity 42
hkl 2 0 1, 2θ 26.9, intensity 61
hkl 2 2 -1, 2θ 32.1, intensity 86
hkl 1 3 1, 2θ 34.3, intensity 100
hkl 3 1 1, 2θ 35.2, intensity 41
hkl 0 4 0, 2θ 35.5, intensity 88
hkl 4 0 0, 2θ 37.0, intensity 76
hkl 3 3 -1, 2θ 43.4, intensity 92
hkl 3 3 1, 2θ 43.6, intensity 77

Atomic structure:
```
data_Ho2Ag2Te3Se
_symmetry_space_group_name_H-M 'C 1 m 1'
_symmetry_Int_Tables_number 8
_cell_length_a 9.7108
_cell_length_b 10.1145
_cell_length_c 4.5852
_cell_angle_alpha 90.00
_cell_angle_beta 90.49
_cell_angle_gamma 90.00
loop_
_symmetry_equiv_pos_as_xyz
'x,y,z'
'x,-y,z'
'x+1/2,y+1/2,z'
'x+1/2,-y+1/2,z'
loop_
_atom_site_label
_atom_site_type_symbol
_atom_site_fract_x
_atom_site_fract_y
_atom_site_fract_z
_atom_site_occupancy
Ho1 Ho 0.0000 0.0000 0.0000 1
Ho2 Ho 0.0284 0.5000 0.3873 1
Ag1 Ag 0.2583 0.2488 0.1756 1
Te1 Te 0.0090 0.2040 0.4871 1
Te2 Te 0.3099 0.0000 0.8996 1
Se1 Se 0.2109 0.5000 0.9107 1
```



2.
# Cs3Er2Cl9
Simulated powder diffractogram, CuKα. Input: the GGA-PBE geometry in OQMD.
Kinematic intensities with the Lorentz-polarization factor, no thermal factor.

Largest 10 diffraction maxima, sorted by position, 5 to 70 degrees two-theta:
hkl 1 0 0, 2θ 13.6, intensity 23
hkl 0 1 1, 2θ 16.7, intensity 27
hkl 0 1 2, 2θ 23.5, intensity 89
hkl 1 1 0, 2θ 23.7, intensity 84
hkl 0 2 1, 2θ 29.1, intensity 26
hkl 2 0 2, 2θ 33.7, intensity 100
hkl 1 2 2, 2θ 41.6, intensity 41
hkl 0 2 4, 2θ 48.1, intensity 33
hkl 2 2 0, 2θ 48.6, intensity 34
hkl 4 1 0, 2θ 65.9, intensity 21

Atomic structure:
```
data_Cs3Er2Cl9
_symmetry_space_group_name_H-M 'P 3 2 1'
_symmetry_Int_Tables_number 150
_cell_length_a 7.4944
_cell_length_b 7.4944
_cell_length_c 9.3042
_cell_angle_alpha 90.00
_cell_angle_beta 90.00
_cell_angle_gamma 120.00
loop_
_symmetry_equiv_pos_as_xyz
'x,y,z'
'-y,x-y,z'
'-x+y,-x,z'
'y,x,-z'
'x-y,-y,-z'
'-x,-x+y,-z'
loop_
_atom_site_label
_atom_site_type_symbol
_atom_site_fract_x
_atom_site_fract_y
_atom_site_fract_z
_atom_site_occupancy
Cs1 Cs 0.0000 0.0000 0.0000 1
Cs2 Cs 0.3333 0.6667 0.6483 1
Er1 Er 0.3333 0.6667 0.1801 1
Cl1 Cl 0.0000 0.5025 0.0000 1
Cl2 Cl 0.1662 0.3368 0.3224 1
```



3.
# Ta3Al10
Simulated powder diffractogram, CuKα. Input: the GGA-PBE geometry in OQMD.
Kinematic intensities with the Lorentz-polarization factor, no thermal factor.

Largest 10 diffraction maxima, sorted by position, 5 to 70 degrees two-theta:
hkl 0 0 3, 2θ 9.5, intensity 26
hkl 0 0 6, 2θ 19.1, intensity 44
hkl 1 0 1, 2θ 20.0, intensity 71
hkl 0 1 5, 2θ 25.4, intensity 49
hkl 1 1 0, 2θ 34.6, intensity 66
hkl 1 1 6, 2θ 39.8, intensity 100
hkl 0 1 11, 2θ 40.9, intensity 42
hkl 2 0 5, 2θ 43.4, intensity 30
hkl 1 1 12, 2θ 52.9, intensity 21
hkl 3 0 6, 2θ 65.4, intensity 23

Atomic structure:
```
data_Ta3Al10
_symmetry_space_group_name_H-M 'R -3 m'
_symmetry_Int_Tables_number 166
_symmetry_space_group_name_Hall '-R 3 2"'
_cell_length_a 5.1917
_cell_length_b 5.1917
_cell_length_c 27.8760
_cell_angle_alpha 90.00
_cell_angle_beta 90.00
_cell_angle_gamma 120.00
loop_
_atom_site_label
_atom_site_type_symbol
_atom_site_fract_x
_atom_site_fract_y
_atom_site_fract_z
_atom_site_occupancy
Ta1 Ta 0.0000 0.0000 0.0000 1
Ta2 Ta 0.0000 0.0000 0.1721 1
Al1 Al 0.0000 0.0000 0.3481 1
Al2 Al 0.0000 0.0000 0.4550 1
Al3 Al 0.0029 0.5014 0.5878 1
```